Simulated powder X-ray diffraction pattern of TbPb6S8 for Cu Kα (λ = 1.5418 Å), from a structure optimized by DFT (PBE).
Intensities are scaled so that the largest is 100.

Atomic structure:
```
data_TbPb6S8
_cell_length_a 9.2651
_cell_length_b 9.2651
_cell_length_c 17.1846
_cell_angle_alpha 90.00
_cell_angle_beta 90.00
_cell_angle_gamma 120.00
_space_group_name_H-M_alt 'R -3'
_space_group_IT_number 148
_space_group_name_Hall '-R 3'
loop_
_atom_site_label
_atom_site_type_symbol
_atom_site_fract_x
_atom_site_fract_y
_atom_site_fract_z
_atom_site_occupancy
Tb1 Tb 0.0000 0.0000 0.0000 1
Pb1 Pb 0.0129 0.7345 0.2537 1
S1 S 0.0000 0.0000 0.3175 1
S2 S 0.0007 0.7489 0.0854 1
```

Peak list (10 most intense, 10° ≤ 2θ ≤ 90°, by angle)
2θ = 24.49°, rel. 17
2θ = 24.72°, rel. 100
2θ = 29.92°, rel. 53
2θ = 31.25°, rel. 35
2θ = 33.50°, rel. 38
2θ = 36.90°, rel. 36
2θ = 39.63°, rel. 27
2θ = 46.47°, rel. 22
2θ = 49.82°, rel. 19
2θ = 50.70°, rel. 19



Simulated powder X-ray diffraction pattern of InHg2F6 for Cu Kα (λ = 1.5418 Å), from a structure optimized by DFT (PBE).
Intensities are scaled so that the largest is 100.

Atomic structure:
```
data_InHg2F6
_cell_length_a 5.911
_cell_length_b 17.736
_cell_length_c 5.756
_cell_angle_alpha 90.00
_cell_angle_beta 90.00
_cell_angle_gamma 90.00
_space_group_name_H-M_alt 'C m c e'
_space_group_IT_number 64
_space_group_name_Hall '-C 2ac 2'
loop_
_atom_site_label
_atom_site_type_symbol
_atom_site_fract_x
_atom_site_fract_y
_atom_site_fract_z
_atom_site_occupancy
In1 In 0.000 0.000 0.000 1
Hg1 Hg 0.000 0.180 0.473 1
F1 F 0.000 0.109 0.131 1
F2 F 0.250 0.035 0.750 1
F3 F 0.250 0.231 0.750 1
```

Peak list (10 most intense, 10° ≤ 2θ ≤ 90°, by angle)
2θ = 26.35°, rel. 100
2θ = 30.24°, rel. 31
2θ = 31.07°, rel. 12
2θ = 33.32°, rel. 12
2θ = 43.29°, rel. 13
2θ = 43.91°, rel. 29
2θ = 51.39°, rel. 29
2θ = 52.48°, rel. 14
2θ = 54.24°, rel. 11
2θ = 70.31°, rel. 9



Simulated powder X-ray diffraction pattern of SiO2 for Cu Kα (λ = 1.5418 Å), from a structure optimized by DFT (PBE).
Intensities are scaled so that the largest is 100.

Atomic structure:
```
data_SiO2
_cell_length_a 8.584
_cell_length_b 8.584
_cell_length_c 8.584
_cell_angle_alpha 90.00
_cell_angle_beta 90.00
_cell_angle_gamma 90.00
_space_group_name_H-M_alt 'I a -3'
_space_group_IT_number 206
_space_group_name_Hall '-I 2b 2c 3'
loop_
_atom_site_label
_atom_site_type_symbol
_atom_site_fract_x
_atom_site_fract_y
_atom_site_fract_z
_atom_site_occupancy
Si1 Si 0.108 0.108 0.108 1
O1 O 0.000 0.000 0.000 1
O2 O 0.000 0.250 0.175 1
```

Peak list (10 most intense, 10° ≤ 2θ ≤ 90°, by angle)
2θ = 20.70°, rel. 10
2θ = 25.42°, rel. 100
2θ = 36.25°, rel. 15
2θ = 39.27°, rel. 11
2θ = 49.83°, rel. 10
2θ = 54.51°, rel. 8
2θ = 61.07°, rel. 10
2θ = 67.23°, rel. 14
2θ = 80.73°, rel. 6
2θ = 82.60°, rel. 7



Simulated powder X-ray diffraction pattern of LaRhC for Cu Kα (λ = 1.5418 Å), from a structure optimized by DFT (PBE).
Intensities are scaled so that the largest is 100.

Atomic structure:
```
data_LaRhC
_cell_length_a 5.874
_cell_length_b 5.874
_cell_length_c 5.874
_cell_angle_alpha 90.00
_cell_angle_beta 90.00
_cell_angle_gamma 90.00
_space_group_name_H-M_alt 'P 21 3'
_space_group_IT_number 198
_space_group_name_Hall 'P 2ac 2ab 3'
loop_
_atom_site_label
_atom_site_type_symbol
_atom_site_fract_x
_atom_site_fract_y
_atom_site_fract_z
_atom_site_occupancy
La1 La 0.154 0.154 0.154 1
Rh1 Rh 0.160 0.340 0.660 1
C1 C 0.076 0.576 0.924 1
```

Peak list (10 most intense, 10° ≤ 2θ ≤ 90°, by angle)
2θ = 30.44°, rel. 15
2θ = 34.13°, rel. 100
2θ = 37.51°, rel. 52
2θ = 46.38°, rel. 13
2θ = 51.61°, rel. 10
2θ = 58.82°, rel. 41
2θ = 65.52°, rel. 10
2θ = 69.79°, rel. 12
2θ = 73.95°, rel. 12
2θ = 89.95°, rel. 10



Simulated powder X-ray diffraction pattern of Rb14Pa2O9 for Cu Kα (λ = 1.5418 Å), from a structure optimized by DFT (PBE).
Intensities are scaled so that the largest is 100.

Atomic structure:
```
data_Rb14Pa2O9
_cell_length_a 10.358
_cell_length_b 10.470
_cell_length_c 11.003
_cell_angle_alpha 83.62
_cell_angle_beta 79.09
_cell_angle_gamma 67.19
_space_group_name_H-M_alt 'P -1'
_space_group_IT_number 2
_space_group_name_Hall '-P 1'
loop_
_atom_site_label
_atom_site_type_symbol
_atom_site_fract_x
_atom_site_fract_y
_atom_site_fract_z
_atom_site_occupancy
Rb1 Rb 0.019 0.228 0.056 1
Rb2 Rb 0.087 0.514 0.218 1
Rb3 Rb 0.109 0.078 0.557 1
Rb4 Rb 0.302 0.596 0.548 1
Rb5 Rb 0.310 0.409 0.881 1
Rb6 Rb 0.418 0.199 0.481 1
Rb7 Rb 0.450 0.919 0.871 1
Pa1 Pa 0.349 0.846 0.284 1
O1 O 0.000 0.500 0.000 1
O2 O 0.181 0.846 0.418 1
O3 O 0.390 0.992 0.367 1
O4 O 0.477 0.853 0.119 1
O5 O 0.494 0.666 0.357 1
```

Peak list (10 most intense, 10° ≤ 2θ ≤ 90°, by angle)
2θ = 12.00°, rel. 100
2θ = 12.56°, rel. 46
2θ = 13.42°, rel. 29
2θ = 15.42°, rel. 27
2θ = 20.96°, rel. 27
2θ = 21.75°, rel. 37
2θ = 25.32°, rel. 38
2θ = 26.39°, rel. 34
2θ = 27.81°, rel. 43
2θ = 28.35°, rel. 29



Simulated powder X-ray diffraction pattern of K3InP2O8 for Cu Kα (λ = 1.5418 Å), from a structure optimized by DFT (PBE).
Intensities are scaled so that the largest is 100.

Atomic structure:
```
data_K3InP2O8
_cell_length_a 9.800
_cell_length_b 9.813
_cell_length_c 9.926
_cell_angle_alpha 89.17
_cell_angle_beta 89.70
_cell_angle_gamma 71.01
_space_group_name_H-M_alt 'P 1'
_space_group_IT_number 1
_space_group_name_Hall 'P 1'
loop_
_atom_site_label
_atom_site_type_symbol
_atom_site_fract_x
_atom_site_fract_y
_atom_site_fract_z
_atom_site_occupancy
K1 K 0.000 0.000 0.000 1
K2 K 0.001 0.481 0.553 1
K3 K 0.203 0.638 0.835 1
K4 K 0.235 0.250 0.028 1
K5 K 0.261 0.752 0.463 1
K6 K 0.390 0.416 0.338 1
K7 K 0.479 0.887 0.126 1
K8 K 0.507 0.489 0.006 1
K9 K 0.521 0.992 0.454 1
K10 K 0.573 0.584 0.647 1
K11 K 0.782 0.211 0.489 1
K12 K 0.787 0.729 0.921 1
In1 In 0.152 0.093 0.661 1
In2 In 0.621 0.128 0.821 1
In3 In 0.870 0.372 0.162 1
In4 In 0.891 0.840 0.321 1
P1 P 0.081 0.606 0.172 1
P2 P 0.118 0.068 0.321 1
P3 P 0.377 0.315 0.676 1
P4 P 0.396 0.906 0.807 1
P5 P 0.647 0.148 0.162 1
P6 P 0.681 0.608 0.309 1
P7 P 0.845 0.340 0.819 1
P8 P 0.926 0.877 0.663 1
O1 O 0.028 0.479 0.131 1
O2 O 0.048 0.180 0.207 1
O3 O 0.057 0.941 0.309 1
O4 O 0.073 0.910 0.663 1
O5 O 0.075 0.146 0.458 1
O6 O 0.075 0.627 0.331 1
O7 O 0.235 0.575 0.117 1
O8 O 0.246 0.265 0.639 1
O9 O 0.252 0.016 0.864 1
O10 O 0.282 0.007 0.303 1
O11 O 0.349 0.469 0.618 1
O12 O 0.373 0.914 0.650 1
O13 O 0.402 0.308 0.833 1
O14 O 0.425 0.753 0.864 1
O15 O 0.483 0.187 0.178 1
O16 O 0.521 0.206 0.618 1
O17 O 0.527 0.955 0.848 1
O18 O 0.531 0.623 0.367 1
O19 O 0.688 0.589 0.151 1
O20 O 0.689 0.287 0.181 1
O21 O 0.696 0.312 0.811 1
O22 O 0.700 0.076 0.024 1
O23 O 0.718 0.747 0.344 1
O24 O 0.723 0.038 0.276 1
O25 O 0.800 0.468 0.365 1
O26 O 0.816 0.499 0.784 1
O27 O 0.825 0.973 0.771 1
O28 O 0.848 0.916 0.524 1
O29 O 0.915 0.295 0.960 1
O30 O 0.948 0.244 0.712 1
O31 O 0.962 0.717 0.700 1
O32 O 0.971 0.752 0.117 1
```

Peak list (10 most intense, 10° ≤ 2θ ≤ 90°, by angle)
2θ = 13.11°, rel. 80
2θ = 17.88°, rel. 26
2θ = 22.27°, rel. 38
2θ = 28.57°, rel. 53
2θ = 28.70°, rel. 32
2θ = 28.84°, rel. 39
2θ = 28.88°, rel. 26
2θ = 30.54°, rel. 25
2θ = 31.15°, rel. 49
2θ = 31.40°, rel. 100



Simulated powder X-ray diffraction pattern of SrNb for Cu Kα (λ = 1.5418 Å), from a structure optimized by DFT (PBE).
Intensities are scaled so that the largest is 100.

Atomic structure:
```
data_SrNb
_cell_length_a 10.445
_cell_length_b 7.991
_cell_length_c 6.239
_cell_angle_alpha 90.00
_cell_angle_beta 90.00
_cell_angle_gamma 90.00
_space_group_name_H-M_alt 'C m c m'
_space_group_IT_number 63
_space_group_name_Hall '-C 2c 2'
loop_
_atom_site_label
_atom_site_type_symbol
_atom_site_fract_x
_atom_site_fract_y
_atom_site_fract_z
_atom_site_occupancy
Sr1 Sr 0.178 0.147 0.250 1
Nb1 Nb 0.000 0.260 0.750 1
Nb2 Nb 0.000 0.500 0.000 1
```

Peak list (10 most intense, 10° ≤ 2θ ≤ 90°, by angle)
2θ = 13.95°, rel. 21
2θ = 26.49°, rel. 47
2θ = 27.95°, rel. 53
2θ = 31.48°, rel. 100
2θ = 31.97°, rel. 33
2θ = 36.55°, rel. 35
2θ = 40.55°, rel. 23
2θ = 48.81°, rel. 20
2θ = 52.25°, rel. 32
2θ = 52.55°, rel. 40



Simulated powder X-ray diffraction pattern of Tm4CdGa2 for Cu Kα (λ = 1.5418 Å), from a structure optimized by DFT (PBE).
Intensities are scaled so that the largest is 100.

Atomic structure:
```
data_Tm4CdGa2
_cell_length_a 5.0050
_cell_length_b 5.0050
_cell_length_c 24.1900
_cell_angle_alpha 90.00
_cell_angle_beta 90.00
_cell_angle_gamma 120.00
_space_group_name_H-M_alt 'R -3 m'
_space_group_IT_number 166
_space_group_name_Hall '-R 3 2"'
loop_
_atom_site_label
_atom_site_type_symbol
_atom_site_fract_x
_atom_site_fract_y
_atom_site_fract_z
_atom_site_occupancy
Tm1 Tm 0.0000 0.0000 0.1170 1
Tm2 Tm 0.0000 0.0000 0.3698 1
Cd1 Cd 0.0000 0.0000 0.5000 1
Ga1 Ga 0.0000 0.0000 0.2485 1
```

Peak list (10 most intense, 10° ≤ 2θ ≤ 90°, by angle)
2θ = 25.28°, rel. 45
2θ = 35.88°, rel. 100
2θ = 36.22°, rel. 90
2θ = 51.91°, rel. 32
2θ = 64.49°, rel. 18
2θ = 64.71°, rel. 33
2θ = 65.37°, rel. 12
2θ = 76.07°, rel. 11
2θ = 87.28°, rel. 15
2θ = 87.87°, rel. 11